Ga2BiI6Br2: computed powder XRD pattern (a wavelength of 1.5418 Å), based on a cell relaxed with PBE.
Peak positions follow from Bragg's law for the DFT cell and can differ from measured ones.

Structure:
Lattice parameters (Å, degrees): 7.6657 7.6657 10.4462 90.00 90.00 120.00
Space group P-3 (No. 147)
Asymmetric unit:
Ga (0.3333, 0.6667, 0.2298)
Bi (0.0000, 0.0000, 0.5000)
I (0.0057, 0.6701, 0.3193)
Br (0.3333, 0.6667, 0.0069)

The 12 most intense peaks (2θ = 5–70°), most intense first:
2θ (°)	intensity	h k l
24.74	100	1 1 1
28.90	100	2 -1 2
15.82	84	1 0 1
40.78	57	3 0 0
8.46	56	0 0 1
41.86	48	1 1 4
34.81	27	1 1 3
36.84	20	2 1 1
28.21	19	0 2 1
67.05	18	5 -1 2
50.74	18	2 2 2
25.58	17	0 0 3

Nd4Ho3Er: computed powder XRD pattern (a wavelength of 1.5418 Å), based on a cell relaxed with PBE.
Peak positions follow from Bragg's law for the DFT cell and can differ from measured ones.

Structure:
Lattice parameters (Å, degrees): 11.562 7.323 6.303 90.00 90.00 90.00
Space group Pmn2_1 (No. 31)
Asymmetric unit:
Nd (0.000, 0.128, 0.000)
Nd (0.000, 0.871, 0.499)
Nd (0.250, 0.129, 0.336)
Ho (0.000, 0.379, 0.501)
Ho (0.250, 0.379, 0.834)
Er (0.000, 0.620, 0.002)

The 12 most intense peaks (2θ = 5–70°), most intense first:
2θ (°)	intensity	h k l
32.24	100	2 2 1
32.36	49	2 0 2
30.94	37	4 0 0
55.88	31	6 2 1
42.37	24	4 0 2
28.19	23	0 2 1
60.02	23	4 2 3
50.06	19	0 2 3
60.65	16	2 4 2
28.32	12	0 0 2
59.79	11	4 4 0
49.81	10	0 4 0

CsRu: computed powder XRD pattern (a wavelength of 1.5418 Å), based on a cell relaxed with PBE.
Peak positions follow from Bragg's law for the DFT cell and can differ from measured ones.

Structure:
Lattice parameters (Å, degrees): 4.102 4.102 10.983 90.49 100.05 120.00
Space group P-1 (No. 2)
Asymmetric unit:
Cs (0.164, 0.088, 0.260)
Ru (0.347, 0.674, 0.021)

The 12 most intense peaks (2θ = 5–70°), most intense first:
2θ (°)	intensity	h k l
8.23	100	0 0 1
28.62	45	0 1 -2
44.16	31	1 1 -1
28.85	23	-1 1 2
33.35	20	0 0 4
27.50	18	1 0 -2
24.86	13	0 0 3
25.22	11	1 -1 0
31.62	8	1 -1 2
27.31	8	1 -1 1
31.86	7	0 1 2
33.47	7	1 0 2

Tl2SnBr4Cl2: computed powder XRD pattern (a wavelength of 1.5418 Å), based on a cell relaxed with PBE.
Peak positions follow from Bragg's law for the DFT cell and can differ from measured ones.

Structure:
Lattice parameters (Å, degrees): 12.845 7.515 7.703 90.00 126.54 90.00
Space group C2/m (No. 12)
Asymmetric unit:
Tl (0.249, 0.000, 0.240)
Sn (0.000, 0.000, 0.500)
Br (0.033, 0.248, 0.292)
Cl (0.236, 0.000, 0.795)

The 12 most intense peaks (2θ = 5–70°), most intense first:
2θ (°)	intensity	h k l
23.90	100	3 1 -1
33.31	87	2 2 -2
29.41	63	2 2 0
34.77	31	4 0 0
29.00	31	4 0 -2
28.85	30	0 0 2
41.77	24	3 3 -1
16.48	24	1 1 -1
49.02	23	6 2 -2
48.82	22	2 2 2
57.42	20	4 4 -2
14.34	17	0 0 1

ErRe4Se8: computed powder XRD pattern (a wavelength of 1.5418 Å), based on a cell relaxed with PBE.
Peak positions follow from Bragg's law for the DFT cell and can differ from measured ones.

Structure:
Lattice parameters (Å, degrees): 7.4240 7.4240 18.6090 90.00 90.00 120.00
Space group R-3m (No. 166, hexagonal axes)
Asymmetric unit:
Er (0.0000, 0.0000, 0.0000)
Re (0.0000, 0.0000, 0.5000)
Re (0.0000, 0.5000, 0.5000)
Se (0.0000, 0.0000, 0.2424)
Se (0.0080, 0.5040, 0.2425)

The 12 most intense peaks (2θ = 5–70°), most intense first:
2θ (°)	intensity	h k l
33.90	100	0 2 4
14.28	49	0 0 3
49.08	36	2 2 0
48.29	35	2 0 8
28.17	20	0 2 1
60.99	18	4 0 4
44.21	12	0 2 7
51.39	12	2 2 3
14.58	7	1 0 1
16.76	7	0 1 2
36.95	6	2 0 5
61.99	6	2 0 11

Ho4InOs: computed powder XRD pattern (a wavelength of 1.5418 Å), based on a cell relaxed with PBE.
Peak positions follow from Bragg's law for the DFT cell and can differ from measured ones.

Structure:
Lattice parameters (Å, degrees): 8.663 4.993 8.587 90.00 109.63 90.00
Space group C2/m (No. 12)
Asymmetric unit:
Ho (0.114, 0.000, 0.340)
Ho (0.135, 0.500, 0.906)
In (0.000, 0.500, 0.500)
Os (0.000, 0.000, 0.000)

The 12 most intense peaks (2θ = 5–70°), most intense first:
2θ (°)	intensity	h k l
35.94	100	0 2 0
36.17	79	2 0 2
21.80	37	1 1 -1
64.75	29	5 1 1
25.28	28	1 1 1
51.91	28	2 2 2
64.61	18	6 0 -2
10.94	16	0 0 1
42.53	11	3 1 1
21.98	10	0 0 2
49.75	10	3 1 -4
46.19	9	1 1 -4